This entry pairs a crystal structure of MgPaCr2S6 with its calculated powder diffraction line list. Radiation: a wavelength of 1.5418 Å. Structure: a crystal structure in Alexandria, relaxed with PBE.
Kinematic intensities with the Lorentz-polarization factor, no thermal factor.

Main lines, by angle (10 to 80 degrees two-theta):
| 2theta | I_rel | hkl |
| --- | --- | --- |
| 15.4 | 411 | 0 0 3 |
| 16.9 | 1000 | 1 0 1 |
| 19.1 | 698 | 0 1 2 |
| 26.2 | 702 | 1 0 4 |
| 28.0 | 564 | 1 1 0 |
| 32.1 | 778 | 1 1 3 |
| 38.8 | 337 | 0 2 4 |
| 42.3 | 913 | 2 -1 6 |
| 48.5 | 308 | 3 -1 4 |
| 49.6 | 509 | 3 0 0 |

```
data_MgPaCr2S6
_chemical_formula_sum 'Mg3 Pa3 Cr6 S18'
_space_group_name_H-M_alt 'R 3'
_space_group_IT_number 146
_space_group_name_Hall 'R 3'
_cell_length_a 6.3649
_cell_length_b 6.3649
_cell_length_c 17.2770
_cell_angle_alpha 90.00
_cell_angle_beta 90.00
_cell_angle_gamma 120.00
loop_
_atom_site_label
_atom_site_type_symbol
_atom_site_fract_x
_atom_site_fract_y
_atom_site_fract_z
Mg1 Mg 0.0000 0.0000 0.0000
Pa1 Pa 0.0000 0.0000 0.4975
Cr1 Cr 0.0000 0.0000 0.3056
Cr2 Cr 0.0000 0.0000 0.8071
S1 S 0.0071 0.3691 0.0622
S2 S 0.0125 0.6310 0.5645
```

***

This entry pairs a crystal structure of Mg2CrPd8 with its calculated powder diffraction line list. Radiation: a wavelength of 1.5418 Å. Structure: a crystal structure in Alexandria, relaxed with PBE.
Kinematic intensities with the Lorentz-polarization factor, no thermal factor.

Main lines, by angle (10 to 80 degrees two-theta):
| 2theta | I_rel | hkl |
| --- | --- | --- |
| 26.4 | 86 | 4 0 0 |
| 39.4 | 1000 | 1 1 2 |
| 44.9 | 174 | 0 2 0 |
| 45.9 | 159 | 4 0 -3 |
| 46.8 | 153 | 6 0 1 |
| 66.1 | 103 | 4 2 -3 |
| 66.9 | 100 | 6 2 1 |
| 67.8 | 48 | 2 0 4 |
| 79.0 | 66 | 5 3 -1 |
| 79.1 | 62 | 1 3 2 |

```
data_Mg2CrPd8
_chemical_formula_sum 'Mg4 Cr2 Pd16'
_space_group_name_H-M_alt 'C 1 2/m 1'
_space_group_IT_number 12
_cell_length_a 14.088
_cell_length_b 4.041
_cell_length_c 6.237
_cell_angle_alpha 90.00
_cell_angle_beta 106.18
_cell_angle_gamma 90.00
loop_
_space_group_symop_operation_xyz
'x,y,z'
'-x,-y,-z'
'-x,y,-z'
'x,-y,z'
'x+1/2,y+1/2,z'
'-x+1/2,-y+1/2,-z'
'-x+1/2,y+1/2,-z'
'x+1/2,-y+1/2,z'
loop_
_atom_site_label
_atom_site_type_symbol
_atom_site_fract_x
_atom_site_fract_y
_atom_site_fract_z
Mg1 Mg 0.222 0.000 0.152
Cr1 Cr 0.000 0.500 0.500
Pd1 Pd 0.042 0.000 0.229
Pd2 Pd 0.094 0.500 0.952
Pd3 Pd 0.140 0.000 0.686
Pd4 Pd 0.178 0.500 0.413
```

***

This entry pairs a crystal structure of MgCrPt with its calculated powder diffraction line list. Radiation: a wavelength of 1.5418 Å. Structure: a crystal structure in Alexandria, relaxed with PBE.
Kinematic intensities with the Lorentz-polarization factor, no thermal factor.

Main lines, by angle (10 to 80 degrees two-theta):
| 2theta | I_rel | hkl |
| --- | --- | --- |
| 19.0 | 548 | 1 0 1 |
| 26.5 | 602 | 1 0 2 |
| 29.0 | 822 | 1 1 1 |
| 34.5 | 253 | 1 1 2 |
| 38.8 | 907 | 2 1 0 |
| 39.0 | 1000 | 0 1 3 |
| 44.4 | 359 | 0 2 0 |
| 45.7 | 546 | 2 0 3 |
| 58.3 | 217 | 3 1 2 |
| 65.6 | 363 | 2 2 3 |

```
data_MgCrPt
_chemical_formula_sum 'Mg4 Cr4 Pt4'
_space_group_name_H-M_alt 'P n m a'
_space_group_IT_number 62
_cell_length_a 5.638
_cell_length_b 4.079
_cell_length_c 8.404
_cell_angle_alpha 90.00
_cell_angle_beta 90.00
_cell_angle_gamma 90.00
loop_
_space_group_symop_operation_xyz
'x,y,z'
'-x,-y,-z'
'-x+1/2,-y,z+1/2'
'x+1/2,y,-z+1/2'
'x+1/2,-y+1/2,-z+1/2'
'-x+1/2,y+1/2,z+1/2'
'-x,y+1/2,-z'
'x,-y+1/2,z'
loop_
_atom_site_label
_atom_site_type_symbol
_atom_site_fract_x
_atom_site_fract_y
_atom_site_fract_z
Mg1 Mg 0.154 0.250 0.079
Cr1 Cr 0.092 0.250 0.737
Pt1 Pt 0.155 0.250 0.406
```

***

This entry pairs a crystal structure of Rb2MgCrSe4 with its calculated powder diffraction line list. Radiation: a wavelength of 1.5418 Å. Structure: a crystal structure in Alexandria, relaxed with PBE.
Kinematic intensities with the Lorentz-polarization factor, no thermal factor.

Main lines, by angle (10 to 80 degrees two-theta):
| 2theta | I_rel | hkl |
| --- | --- | --- |
| 14.1 | 170 | 0 0 4 |
| 24.8 | 205 | 0 2 6 |
| 26.1 | 1000 | 1 3 3 |
| 28.5 | 269 | 0 0 8 |
| 29.8 | 609 | 1 3 5 |
| 30.1 | 244 | 2 0 2 |
| 34.7 | 171 | 1 3 7 |
| 36.5 | 264 | 2 0 6 |
| 46.9 | 180 | 2 0 10 |
| 48.8 | 232 | 2 6 0 |

```
data_Rb2MgCrSe4
_chemical_formula_sum 'Rb16 Mg8 Cr8 Se32'
_space_group_name_H-M_alt 'F d d d'
_space_group_IT_number 70
_cell_length_a 6.108
_cell_length_b 14.166
_cell_length_c 25.050
_cell_angle_alpha 90.00
_cell_angle_beta 90.00
_cell_angle_gamma 90.00
loop_
_space_group_symop_operation_xyz
'x,y,z'
'-x,-y,-z'
'-x+1/4,-y+1/4,z'
'x+1/4,y+1/4,-z'
'x,-y+1/4,-z+1/4'
'-x,y+1/4,z+1/4'
'-x+1/4,y,-z+1/4'
'x+1/4,-y,z+1/4'
'x,y+1/2,z+1/2'
'-x,-y+1/2,-z+1/2'
'-x+1/4,-y+3/4,z+1/2'
'x+1/4,y+3/4,-z+1/2'
'x,-y+3/4,-z+3/4'
'-x,y+3/4,z+3/4'
'-x+1/4,y+1/2,-z+3/4'
'x+1/4,-y+1/2,z+3/4'
'x+1/2,y,z+1/2'
'-x+1/2,-y,-z+1/2'
'-x+3/4,-y+1/4,z+1/2'
'x+3/4,y+1/4,-z+1/2'
'x+1/2,-y+1/4,-z+3/4'
'-x+1/2,y+1/4,z+3/4'
'-x+3/4,y,-z+3/4'
'x+3/4,-y,z+3/4'
'x+1/2,y+1/2,z'
'-x+1/2,-y+1/2,-z'
'-x+3/4,-y+3/4,z'
'x+3/4,y+3/4,-z'
'x+1/2,-y+3/4,-z+1/4'
'-x+1/2,y+3/4,z+1/4'
'-x+3/4,y+1/2,-z+1/4'
'x+3/4,-y+1/2,z+1/4'
loop_
_atom_site_label
_atom_site_type_symbol
_atom_site_fract_x
_atom_site_fract_y
_atom_site_fract_z
Rb1 Rb 0.125 0.125 0.305
Mg1 Mg 0.125 0.125 0.125
Cr1 Cr 0.125 0.125 0.625
Se1 Se 0.096 0.278 0.822
```

***

This entry pairs a crystal structure of Mg2CrRh with its calculated powder diffraction line list. Radiation: a wavelength of 1.5418 Å. Structure: a crystal structure in Alexandria, relaxed with PBE.
Kinematic intensities with the Lorentz-polarization factor, no thermal factor.

Main lines, by angle (10 to 80 degrees two-theta):
| 2theta | I_rel | hkl |
| --- | --- | --- |
| 11.8 | 1000 | 0 0 1 |
| 32.5 | 107 | 1 0 1 |
| 38.7 | 665 | 1 0 2 |
| 43.2 | 285 | 1 1 0 |
| 44.9 | 139 | 1 1 1 |
| 47.5 | 229 | 1 0 3 |
| 62.7 | 89 | 2 0 0 |
| 66.8 | 70 | 1 1 4 |
| 76.2 | 165 | 2 1 2 |
| 78.2 | 65 | 1 1 5 |

```
data_Mg2CrRh
_chemical_formula_sum 'Mg2 Cr1 Rh1'
_space_group_name_H-M_alt 'P 4 m m'
_space_group_IT_number 99
_cell_length_a 2.962
_cell_length_b 2.962
_cell_length_c 7.526
_cell_angle_alpha 90.00
_cell_angle_beta 90.00
_cell_angle_gamma 90.00
loop_
_space_group_symop_operation_xyz
'x,y,z'
'-y,x,z'
'-x,-y,z'
'y,-x,z'
'-x,y,z'
'y,x,z'
'x,-y,z'
'-y,-x,z'
loop_
_atom_site_label
_atom_site_type_symbol
_atom_site_fract_x
_atom_site_fract_y
_atom_site_fract_z
Mg1 Mg 0.000 0.000 0.000
Mg2 Mg 0.500 0.500 0.329
Cr1 Cr 0.500 0.500 0.754
Rh1 Rh 0.000 0.000 0.567
```

***

This entry pairs a crystal structure of MgCr2S5 with its calculated powder diffraction line list. Radiation: a wavelength of 1.5418 Å. Structure: a crystal structure in Alexandria, relaxed with PBE.
Kinematic intensities with the Lorentz-polarization factor, no thermal factor.

Main lines, by angle (10 to 80 degrees two-theta):
| 2theta | I_rel | hkl |
| --- | --- | --- |
| 14.5 | 1000 | 0 0 1 |
| 19.2 | 633 | 0 2 1 |
| 24.1 | 622 | 1 1 0 |
| 27.5 | 583 | 1 0 1 |
| 34.9 | 396 | 0 5 1 |
| 39.9 | 550 | 1 2 2 |
| 42.5 | 371 | 1 3 2 |
| 47.5 | 364 | 2 0 0 |
| 53.4 | 372 | 1 7 1 |
| 54.7 | 380 | 1 3 3 |

```
data_MgCr2S5
_chemical_formula_sum 'Mg2 Cr4 S10'
_space_group_name_H-M_alt 'P m m n'
_space_group_IT_number 59
_cell_length_a 3.830
_cell_length_b 14.156
_cell_length_c 6.092
_cell_angle_alpha 90.00
_cell_angle_beta 90.00
_cell_angle_gamma 90.00
loop_
_space_group_symop_operation_xyz
'x,y,z'
'-x,-y,-z'
'-x+1/2,-y+1/2,z'
'x+1/2,y+1/2,-z'
'x+1/2,-y,-z'
'-x+1/2,y,z'
'-x,y+1/2,-z'
'x,-y+1/2,z'
loop_
_atom_site_label
_atom_site_type_symbol
_atom_site_fract_x
_atom_site_fract_y
_atom_site_fract_z
Mg1 Mg 0.250 0.250 0.082
Cr1 Cr 0.250 0.599 0.462
S1 S 0.250 0.061 0.349
S2 S 0.250 0.654 0.135
S3 S 0.250 0.750 0.633
```

***

This entry pairs a crystal structure of Sm3Mg2CrS8 with its calculated powder diffraction line list. Radiation: a wavelength of 1.5418 Å. Structure: a crystal structure in Alexandria, relaxed with PBE.
Kinematic intensities with the Lorentz-polarization factor, no thermal factor.

Main lines, by angle (10 to 80 degrees two-theta):
| 2theta | I_rel | hkl |
| --- | --- | --- |
| 13.8 | 598 | 1 0 1 |
| 14.0 | 510 | 0 0 3 |
| 26.5 | 637 | 0 2 1 |
| 26.6 | 341 | 1 1 3 |
| 26.9 | 189 | 0 1 5 |
| 32.3 | 1000 | 0 2 4 |
| 35.3 | 252 | 2 0 5 |
| 46.0 | 461 | 2 2 0 |
| 46.6 | 436 | 2 0 8 |
| 48.3 | 194 | 2 2 3 |

```
data_Sm3Mg2CrS8
_chemical_formula_sum 'Sm9 Mg6 Cr3 S24'
_space_group_name_H-M_alt 'R -3 m'
_space_group_IT_number 166
_space_group_name_Hall '-R 3 2"'
_cell_length_a 7.8970
_cell_length_b 7.8970
_cell_length_c 18.9822
_cell_angle_alpha 90.00
_cell_angle_beta 90.00
_cell_angle_gamma 120.00
loop_
_atom_site_label
_atom_site_type_symbol
_atom_site_fract_x
_atom_site_fract_y
_atom_site_fract_z
Sm1 Sm 0.0000 0.5000 0.0000
Mg1 Mg 0.0000 0.0000 0.1262
Cr1 Cr 0.0000 0.0000 0.5000
S1 S 0.0000 0.0000 0.2533
S2 S 0.0266 0.5133 0.2418
```

***

This entry pairs a crystal structure of Mg2VCr3S8 with its calculated powder diffraction line list. Radiation: a wavelength of 1.5418 Å. Structure: a crystal structure in Alexandria, relaxed with PBE.
Kinematic intensities with the Lorentz-polarization factor, no thermal factor.

Main lines, by angle (10 to 80 degrees two-theta):
| 2theta | I_rel | hkl |
| --- | --- | --- |
| 15.0 | 744 | 0 0 3 |
| 24.6 | 107 | 1 0 4 |
| 29.0 | 701 | 0 2 1 |
| 35.1 | 1000 | 0 2 4 |
| 46.2 | 476 | 0 2 7 |
| 50.5 | 478 | 2 2 0 |
| 50.6 | 470 | 2 0 8 |
| 53.0 | 96 | 2 2 3 |
| 63.0 | 134 | 4 0 4 |
| 74.3 | 124 | 0 4 8 |

```
data_Mg2VCr3S8
_chemical_formula_sum 'Mg6 V3 Cr9 S24'
_space_group_name_H-M_alt 'R -3 m'
_space_group_IT_number 166
_space_group_name_Hall '-R 3 2"'
_cell_length_a 7.2327
_cell_length_b 7.2327
_cell_length_c 17.6586
_cell_angle_alpha 90.00
_cell_angle_beta 90.00
_cell_angle_gamma 120.00
loop_
_atom_site_label
_atom_site_type_symbol
_atom_site_fract_x
_atom_site_fract_y
_atom_site_fract_z
Mg1 Mg 0.0000 0.0000 0.1244
V1 V 0.0000 0.0000 0.5000
Cr1 Cr 0.0000 0.5000 0.0000
S1 S 0.0000 0.0000 0.2631
S2 S 0.0337 0.5169 0.2548
```

***

This entry pairs a crystal structure of MgV3CrS8 with its calculated powder diffraction line list. Radiation: a wavelength of 1.5418 Å. Structure: a crystal structure in Alexandria, relaxed with PBE.
Kinematic intensities with the Lorentz-polarization factor, no thermal factor.

Main lines, by angle (10 to 80 degrees two-theta):
| 2theta | I_rel | hkl |
| --- | --- | --- |
| 15.3 | 178 | 0 0 3 |
| 15.6 | 587 | 1 0 1 |
| 29.6 | 117 | 0 1 5 |
| 30.0 | 243 | 1 1 3 |
| 36.3 | 1000 | 0 2 4 |
| 47.7 | 150 | 1 2 5 |
| 48.0 | 112 | 0 3 3 |
| 51.8 | 382 | 2 0 8 |
| 52.7 | 348 | 2 2 0 |
| 65.6 | 122 | 4 0 4 |

```
data_MgV3CrS8
_chemical_formula_sum 'Mg3 V9 Cr3 S24'
_space_group_name_H-M_alt 'R 3 m'
_space_group_IT_number 160
_space_group_name_Hall 'R 3 -2"'
_cell_length_a 6.9520
_cell_length_b 6.9520
_cell_length_c 17.4158
_cell_angle_alpha 90.00
_cell_angle_beta 90.00
_cell_angle_gamma 120.00
loop_
_atom_site_label
_atom_site_type_symbol
_atom_site_fract_x
_atom_site_fract_y
_atom_site_fract_z
Mg1 Mg 0.0000 0.0000 0.0000
V1 V 0.1868 0.3736 0.1998
Cr1 Cr 0.0000 0.0000 0.3741
S1 S 0.0000 0.0000 0.1366
S2 S 0.0000 0.0000 0.6207
S3 S 0.0065 0.5032 0.1207
S4 S 0.1843 0.3687 0.9476
```

***

This entry pairs a crystal structure of MgV2Cr2S8 with its calculated powder diffraction line list. Radiation: a wavelength of 1.5418 Å. Structure: a crystal structure in Alexandria, relaxed with PBE.
Kinematic intensities with the Lorentz-polarization factor, no thermal factor.

Main lines, by angle (10 to 80 degrees two-theta):
| 2theta | I_rel | hkl |
| --- | --- | --- |
| 15.3 | 555 | 0 1 1 |
| 15.6 | 621 | 1 0 1 |
| 29.6 | 247 | 1 2 1 |
| 30.0 | 306 | 0 1 3 |
| 36.1 | 1000 | 2 2 0 |
| 36.5 | 491 | 0 0 4 |
| 47.7 | 179 | 3 2 1 |
| 51.2 | 202 | 0 4 0 |
| 52.3 | 724 | 2 2 4 |
| 52.7 | 167 | 4 0 0 |

```
data_MgV2Cr2S8
_chemical_formula_sum 'Mg2 V4 Cr4 S16'
_space_group_name_H-M_alt 'I m m 2'
_space_group_IT_number 44
_cell_length_a 6.945
_cell_length_b 7.137
_cell_length_c 9.852
_cell_angle_alpha 90.00
_cell_angle_beta 90.00
_cell_angle_gamma 90.00
loop_
_space_group_symop_operation_xyz
'x,y,z'
'-x,-y,z'
'-x,y,z'
'x,-y,z'
'x+1/2,y+1/2,z+1/2'
'-x+1/2,-y+1/2,z+1/2'
'-x+1/2,y+1/2,z+1/2'
'x+1/2,-y+1/2,z+1/2'
loop_
_atom_site_label
_atom_site_type_symbol
_atom_site_fract_x
_atom_site_fract_y
_atom_site_fract_z
Mg1 Mg 0.000 0.000 0.000
V1 V 0.218 0.000 0.600
Cr1 Cr 0.000 0.242 0.372
S1 S 0.000 0.245 0.615
S2 S 0.000 0.283 0.129
S3 S 0.225 0.500 0.352
S4 S 0.239 0.000 0.368
```

***

This entry pairs a crystal structure of Mg6CrSb with its calculated powder diffraction line list. Radiation: a wavelength of 1.5418 Å. Structure: a crystal structure in Alexandria, relaxed with PBE.
Kinematic intensities with the Lorentz-polarization factor, no thermal factor.

Main lines, by angle (10 to 80 degrees two-theta):
| 2theta | I_rel | hkl |
| --- | --- | --- |
| 16.1 | 372 | 0 0 2 |
| 17.6 | 305 | 1 0 0 |
| 24.0 | 298 | 1 0 2 |
| 24.1 | 191 | 1 1 1 |
| 32.9 | 340 | 0 2 2 |
| 35.7 | 372 | 2 0 0 |
| 37.2 | 528 | 1 0 4 |
| 37.5 | 1000 | 1 2 2 |
| 49.3 | 208 | 2 2 2 |
| 70.2 | 186 | 2 2 6 |

```
data_Mg6CrSb
_chemical_formula_sum 'Mg12 Cr2 Sb2'
_space_group_name_H-M_alt 'A m m 2'
_space_group_IT_number 38
_cell_length_a 5.031
_cell_length_b 6.273
_cell_length_c 11.013
_cell_angle_alpha 90.00
_cell_angle_beta 90.00
_cell_angle_gamma 90.00
loop_
_space_group_symop_operation_xyz
'x,y,z'
'-x,-y,z'
'-x,y,z'
'x,-y,z'
'x,y+1/2,z+1/2'
'-x,-y+1/2,z+1/2'
'-x,y+1/2,z+1/2'
'x,-y+1/2,z+1/2'
loop_
_atom_site_label
_atom_site_type_symbol
_atom_site_fract_x
_atom_site_fract_y
_atom_site_fract_z
Mg1 Mg 0.000 0.000 0.000
Mg2 Mg 0.000 0.000 0.490
Mg3 Mg 0.000 0.237 0.244
Mg4 Mg 0.500 0.248 0.579
Cr1 Cr 0.500 0.000 0.329
Sb1 Sb 0.500 0.000 0.830
```

***

This entry pairs a crystal structure of Mg5CrSe6 with its calculated powder diffraction line list. Radiation: a wavelength of 1.5418 Å. Structure: a crystal structure in Alexandria, relaxed with PBE.
Kinematic intensities with the Lorentz-polarization factor, no thermal factor.

Main lines, by angle (10 to 80 degrees two-theta):
| 2theta | I_rel | hkl |
| --- | --- | --- |
| 28.2 | 389 | 2 0 0 |
| 32.7 | 1000 | 1 3 1 |
| 46.9 | 706 | 2 0 2 |
| 55.6 | 174 | 3 3 1 |
| 58.3 | 240 | 4 0 0 |
| 68.4 | 110 | 2 6 2 |
| 75.5 | 12 | 1 9 -1 |
| 75.6 | 61 | 4 0 2 |
| 77.9 | 151 | 4 6 0 |
| 77.9 | 150 | 3 3 3 |

```
data_Mg5CrSe6
_chemical_formula_sum 'Mg10 Cr2 Se12'
_space_group_name_H-M_alt 'C 1 2/m 1'
_space_group_IT_number 12
_cell_length_a 6.713
_cell_length_b 11.647
_cell_length_c 6.713
_cell_angle_alpha 90.00
_cell_angle_beta 109.47
_cell_angle_gamma 90.00
loop_
_space_group_symop_operation_xyz
'x,y,z'
'-x,-y,-z'
'-x,y,-z'
'x,-y,z'
'x+1/2,y+1/2,z'
'-x+1/2,-y+1/2,-z'
'-x+1/2,y+1/2,-z'
'x+1/2,-y+1/2,z'
loop_
_atom_site_label
_atom_site_type_symbol
_atom_site_fract_x
_atom_site_fract_y
_atom_site_fract_z
Mg1 Mg 0.000 0.000 0.000
Mg2 Mg 0.000 0.167 0.500
Mg3 Mg 0.000 0.334 0.000
Cr1 Cr 0.000 0.500 0.500
Se1 Se 0.245 0.500 0.256
Se2 Se 0.248 0.336 0.748
```

***

This entry pairs a crystal structure of SrMg14Cr with its calculated powder diffraction line list. Radiation: a wavelength of 1.5418 Å. Structure: a crystal structure in Alexandria, relaxed with PBE.
Kinematic intensities with the Lorentz-polarization factor, no thermal factor.

Main lines, by angle (10 to 80 degrees two-theta):
| 2theta | I_rel | hkl |
| --- | --- | --- |
| 17.6 | 139 | 1 0 2 |
| 32.1 | 346 | 0 2 2 |
| 34.1 | 417 | 4 0 0 |
| 35.7 | 618 | 2 0 4 |
| 36.4 | 1000 | 2 2 2 |
| 47.5 | 205 | 4 2 2 |
| 56.1 | 180 | 0 2 6 |
| 62.5 | 192 | 6 2 2 |
| 67.3 | 191 | 4 2 6 |
| 69.7 | 158 | 2 4 4 |

```
data_SrMg14Cr
_chemical_formula_sum 'Sr2 Mg28 Cr2'
_space_group_name_H-M_alt 'A m m 2'
_space_group_IT_number 38
_cell_length_a 10.525
_cell_length_b 6.390
_cell_length_c 11.452
_cell_angle_alpha 90.00
_cell_angle_beta 90.00
_cell_angle_gamma 90.00
loop_
_space_group_symop_operation_xyz
'x,y,z'
'-x,-y,z'
'-x,y,z'
'x,-y,z'
'x,y+1/2,z+1/2'
'-x,-y+1/2,z+1/2'
'-x,y+1/2,z+1/2'
'x,-y+1/2,z+1/2'
loop_
_atom_site_label
_atom_site_type_symbol
_atom_site_fract_x
_atom_site_fract_y
_atom_site_fract_z
Sr1 Sr 0.000 0.000 0.000
Mg1 Mg 0.000 0.246 0.250
Mg2 Mg 0.231 0.000 0.644
Mg3 Mg 0.254 0.245 0.399
Mg4 Mg 0.264 0.000 0.156
Mg5 Mg 0.500 0.000 0.488
Mg6 Mg 0.500 0.000 0.985
Mg7 Mg 0.500 0.245 0.736
Cr1 Cr 0.000 0.000 0.480
```